# SrLiSb
Theoretical PXRD pattern, Cu Kα X-rays. Input: a structure optimized by DFT (GGA-PBE).
Kinematic intensities with the Lorentz-polarization factor, no thermal factor.

Principal peaks in the range 2θ = 15–90°, low angle first:
- (1 0 2), 23.6 deg, I 48
- (1 1 1), 23.8 deg, I 78
- (1 1 2), 30.1 deg, I 21
- (2 0 2), 30.5 deg, I 33
- (2 1 1), 30.7 deg, I 100
- (0 1 3), 36.7 deg, I 47
- (0 2 0), 37.1 deg, I 31
- (1 2 2), 44.5 deg, I 18
- (2 2 2), 48.8 deg, I 21
- (4 1 3), 59.3 deg, I 21

Cell and atoms:
```
data_SrLiSb
_chemical_formula_sum 'Sr4 Li4 Sb4'
_cell_length_a 8.0779
_cell_length_b 4.8464
_cell_length_c 8.5114
_cell_angle_alpha 90.00
_cell_angle_beta 90.00
_cell_angle_gamma 90.00
_space_group_name_H-M_alt 'P n m a'
_space_group_IT_number 62
_space_group_name_Hall '-P 2ac 2n'
loop_
_atom_site_label
_atom_site_fract_x
_atom_site_fract_y
_atom_site_fract_z
Sr1 0.0037 0.2500 0.2068
Li1 0.1586 0.2500 0.5754
Sb1 0.2227 0.7500 0.4060
```

***

# Li2TaSb
Theoretical PXRD pattern, Cu Kα X-rays. Input: a structure optimized by DFT (GGA-PBE).
Kinematic intensities with the Lorentz-polarization factor, no thermal factor.

Principal peaks in the range 2θ = 15–90°, low angle first:
- (1 0 1), 24.4 deg, I 100
- (1 1 2), 38.0 deg, I 70
- (1 0 3), 38.8 deg, I 30
- (0 0 4), 42.5 deg, I 13
- (2 0 0), 45.0 deg, I 22
- (2 1 1), 51.8 deg, I 26
- (2 1 3), 60.9 deg, I 16
- (2 0 4), 63.6 deg, I 16
- (1 1 6), 74.7 deg, I 10
- (3 1 2), 78.3 deg, I 17

Cell and atoms:
```
data_Li2TaSb
_chemical_formula_sum 'Li4 Ta2 Sb2'
_cell_length_a 4.0315
_cell_length_b 4.0315
_cell_length_c 8.5167
_cell_angle_alpha 90.00
_cell_angle_beta 90.00
_cell_angle_gamma 90.00
_space_group_name_H-M_alt 'I -4 m 2'
_space_group_IT_number 119
_space_group_name_Hall 'I -4 -2'
loop_
_atom_site_label
_atom_site_fract_x
_atom_site_fract_y
_atom_site_fract_z
Li1 0.0000 0.0000 0.0000
Li2 0.0000 0.5000 0.2500
Ta1 0.0000 0.0000 0.5000
Sb1 0.0000 0.5000 0.7500
```

***

# Li3Sb2Te4
Theoretical PXRD pattern, Cu Kα X-rays. Input: a structure optimized by DFT (GGA-PBE).
Kinematic intensities with the Lorentz-polarization factor, no thermal factor.

Principal peaks in the range 2θ = 15–90°, low angle first:
- (0 2 0), 20.0 deg, I 9
- (0 0 2), 23.5 deg, I 8
- (2 2 0), 24.4 deg, I 11
- (2 2 -2), 27.8 deg, I 100
- (4 0 -4), 38.7 deg, I 14
- (2 2 2), 39.5 deg, I 21
- (6 2 -2), 39.8 deg, I 26
- (0 4 0), 40.6 deg, I 13
- (4 4 0), 49.9 deg, I 12
- (4 4 -4), 57.3 deg, I 10

Cell and atoms:
```
data_Li3Sb2Te4
_chemical_formula_sum 'Li12 Sb8 Te16'
_cell_length_a 15.7851
_cell_length_b 8.8883
_cell_length_c 9.3104
_cell_angle_alpha 90.00
_cell_angle_beta 125.56
_cell_angle_gamma 90.00
_space_group_name_H-M_alt 'C 1 2/c 1'
_space_group_IT_number 15
_space_group_name_Hall '-C 2yc'
loop_
_atom_site_label
_atom_site_fract_x
_atom_site_fract_y
_atom_site_fract_z
Li1 0.0000 0.0229 0.2500
Li2 0.1089 0.3023 0.8710
Sb1 0.2312 0.2491 0.7064
Te1 0.0115 0.2426 0.5108
Te2 0.2328 0.0104 0.4821
```

***

# LiThSbTe
Theoretical PXRD pattern, Cu Kα X-rays. Input: a structure optimized by DFT (GGA-PBE).
Kinematic intensities with the Lorentz-polarization factor, no thermal factor.

Principal peaks in the range 2θ = 15–90°, low angle first:
- (0 0 6), 15.3 deg, I 19
- (1 0 1), 20.7 deg, I 21
- (1 0 4), 23.0 deg, I 100
- (1 0 7), 27.4 deg, I 18
- (1 0 10), 33.0 deg, I 74
- (1 1 0), 36.1 deg, I 83
- (0 1 14), 41.9 deg, I 24
- (0 2 4), 43.2 deg, I 25
- (0 2 10), 49.7 deg, I 24
- (2 1 10), 62.9 deg, I 23

Cell and atoms:
```
data_LiThSbTe
_chemical_formula_sum 'Li6 Th6 Sb6 Te6'
_cell_length_a 4.9819
_cell_length_b 4.9819
_cell_length_c 34.8493
_cell_angle_alpha 90.00
_cell_angle_beta 90.00
_cell_angle_gamma 120.00
_space_group_name_H-M_alt 'R -3 m'
_space_group_IT_number 166
_space_group_name_Hall '-R 3 2"'
loop_
_atom_site_label
_atom_site_fract_x
_atom_site_fract_y
_atom_site_fract_z
Li1 0.0000 0.0000 0.1982
Th1 0.0000 0.0000 0.3943
Sb1 0.0000 0.0000 0.3018
Te1 0.0000 0.0000 0.1165
```

***

# LiZnSbTe2
Theoretical PXRD pattern, Cu Kα X-rays. Input: a structure optimized by DFT (GGA-PBE).
Kinematic intensities with the Lorentz-polarization factor, no thermal factor.

Principal peaks in the range 2θ = 15–90°, low angle first:
- (1 0 0), 15.9 deg, I 79
- (0 0 1), 17.5 deg, I 34
- (1 1 1), 28.8 deg, I 100
- (2 0 0), 32.2 deg, I 81
- (0 0 2), 35.4 deg, I 31
- (2 2 0), 46.2 deg, I 29
- (2 0 2), 48.6 deg, I 50
- (3 1 1), 55.3 deg, I 32
- (2 2 2), 59.6 deg, I 40
- (4 0 2), 78.5 deg, I 23

Cell and atoms:
```
data_LiZnSbTe2
_chemical_formula_sum 'Li1 Zn1 Sb1 Te2'
_cell_length_a 5.5567
_cell_length_b 5.5567
_cell_length_c 5.0671
_cell_angle_alpha 90.00
_cell_angle_beta 90.00
_cell_angle_gamma 90.00
_space_group_name_H-M_alt 'P 4/m m m'
_space_group_IT_number 123
_space_group_name_Hall '-P 4 2'
loop_
_atom_site_label
_atom_site_fract_x
_atom_site_fract_y
_atom_site_fract_z
Li1 0.0000 0.0000 0.0000
Zn1 0.5000 0.5000 0.5000
Sb1 0.5000 0.5000 0.0000
Te1 0.0000 0.5000 0.5000
```

***

# Li4ThSb2
Theoretical PXRD pattern, Cu Kα X-rays. Input: a structure optimized by DFT (GGA-PBE).
Kinematic intensities with the Lorentz-polarization factor, no thermal factor.

Principal peaks in the range 2θ = 15–90°, low angle first:
- (1 1 0), 15.2 deg, I 93
- (1 0 1), 22.9 deg, I 38
- (1 1 1), 25.4 deg, I 55
- (2 2 0), 30.8 deg, I 59
- (2 1 1), 31.7 deg, I 100
- (3 0 1), 38.7 deg, I 52
- (3 1 1), 40.3 deg, I 24
- (2 2 2), 52.1 deg, I 27
- (4 3 1), 60.1 deg, I 22
- (5 2 1), 64.6 deg, I 30

Cell and atoms:
```
data_Li4ThSb2
_chemical_formula_sum 'Li8 Th2 Sb4'
_cell_length_a 8.2190
_cell_length_b 8.2190
_cell_length_c 4.4067
_cell_angle_alpha 90.00
_cell_angle_beta 90.00
_cell_angle_gamma 90.00
_space_group_name_H-M_alt 'P 42/m n m'
_space_group_IT_number 136
_space_group_name_Hall '-P 4n 2n'
loop_
_atom_site_label
_atom_site_fract_x
_atom_site_fract_y
_atom_site_fract_z
Li1 0.0965 0.3370 0.0000
Th1 0.0000 0.0000 0.5000
Sb1 0.2127 0.7873 0.0000
```